Diffraction record for ErMg5. The powder diffractogram is theoretical, not measured: it uses DFT lattice parameters and positions (PBE) and a wavelength of 1.5418 Å.

Atomic structure:
```
ErMg5
1.0
5.3698 0.0000 0.0000
0.0000 1.6078 8.5333
0.0000 -1.6078 8.5333
Er Mg
1 5
Direct
0.0000 0.0000 0.0000
0.0000 0.3282 0.3282
0.0000 0.6682 0.6682
0.5000 0.2192 0.2192
0.5000 0.5570 0.5570
0.5000 0.8847 0.8847
```

Most intense lines, 5 to 70 degrees two-theta, in order of falling intensity:
2θ/deg	I (rel.)
10.37	100
36.19	83
19.53	53
35.72	41
16.51	39
33.37	32
32.89	30
31.97	29
26.69	28
20.82	23



Diffraction record for RbSO4F. The powder diffractogram is theoretical, not measured: it uses DFT lattice parameters and positions (PBE) and a wavelength of 1.5418 Å.

Atomic structure:
```
RbSO4F
1.0
5.6334 0.0000 0.0000
-0.3949 5.7444 0.0000
-2.2100 -1.5486 7.2652
Rb S O F
2 2 8 2
Direct
0.1095 0.3355 0.2412
0.8905 0.6645 0.7588
0.3836 0.2244 0.7880
0.6164 0.7756 0.2120
0.1747 0.1834 0.8584
0.3410 0.3736 0.6520
0.3672 0.7331 0.0789
0.4334 0.9571 0.6857
0.5666 0.0429 0.3143
0.6328 0.2669 0.9211
0.6590 0.6264 0.3480
0.8253 0.8166 0.1416
0.2057 0.8527 0.5263
0.7943 0.1473 0.4737
```

Most intense lines, 5 to 70 degrees two-theta, in order of falling intensity:
2θ/deg	I (rel.)
25.57	100
28.10	90
31.90	78
23.82	73
24.51	72
24.38	65
31.66	31
40.58	28
36.89	28
43.98	24